# 1
This entry pairs a crystal structure of Li2MgBeH6 with its simulated powder diffractogram. Radiation: a wavelength of 1.5418 Å. Structure: a crystal structure in Alexandria, relaxed with PBE.

Largest 10 diffraction maxima, sorted by position, 2θ from 10° to 90°:
| d_spacing | 2theta | I (rel.) | index |
| --- | --- | --- | --- |
| 4.625 | 19.19 | 48 | 1 0 0 |
| 4.209 | 21.11 | 53 | 0 0 1 |
| 3.271 | 27.27 | 43 | 1 1 0 |
| 3.113 | 28.68 | 36 | 1 0 1 |
| 2.582 | 34.74 | 100 | 1 1 1 |
| 2.313 | 38.94 | 38 | 2 0 0 |
| 1.856 | 49.07 | 19 | 2 1 1 |
| 1.770 | 51.65 | 21 | 1 1 2 |
| 1.635 | 56.25 | 18 | 2 2 0 |
| 1.382 | 67.83 | 27 | 3 1 1 |

Atomic structure:
abc: 4.625 4.625 4.209
angles: 90.00 90.00 90.00
Atoms (fractional coordinates):
1 Li 0.000 0.500 0.000
2 Li 0.500 0.000 0.000
3 Mg 0.000 0.000 0.606
4 Be 0.500 0.500 0.635
5 H 0.000 0.000 0.168
6 H 0.271 0.271 0.748
7 H 0.271 0.729 0.748
8 H 0.500 0.500 0.292
9 H 0.729 0.271 0.748
10 H 0.729 0.729 0.748

---

# 2
This entry pairs a crystal structure of LiMnBeH6 with its simulated powder diffractogram. Radiation: a wavelength of 1.5418 Å. Structure: a crystal structure in Alexandria, relaxed with PBE.

Largest 10 diffraction maxima, sorted by position, 2θ from 10° to 90°:
| d_spacing | 2theta | I (rel.) | index |
| --- | --- | --- | --- |
| 4.286 | 20.72 | 60 | 0 0 2 |
| 3.536 | 25.19 | 30 | 1 0 0 |
| 3.269 | 27.28 | 100 | 1 0 1 |
| 2.728 | 32.84 | 43 | 1 0 2 |
| 2.223 | 40.59 | 33 | 1 0 3 |
| 2.041 | 44.38 | 28 | 1 1 0 |
| 1.843 | 49.45 | 31 | 1 1 2 |
| 1.731 | 52.88 | 14 | 2 0 1 |
| 1.478 | 62.87 | 21 | 1 1 4 |
| 1.320 | 71.44 | 10 | 2 1 1 |

Atomic structure:
abc: 4.083 4.083 8.573
angles: 90.00 90.00 120.00
Atoms (fractional coordinates):
1 Li 0.000 0.000 0.000
2 Li 0.000 0.000 0.500
3 Mn 0.333 0.667 0.250
4 Mn 0.667 0.333 0.750
5 Be 0.333 0.667 0.750
6 Be 0.667 0.333 0.250
7 H 0.006 0.503 0.122
8 H 0.006 0.503 0.378
9 H 0.497 0.503 0.122
10 H 0.497 0.503 0.378
11 H 0.497 0.994 0.122
12 H 0.497 0.994 0.378
13 H 0.503 0.006 0.622
14 H 0.503 0.006 0.878
15 H 0.503 0.497 0.622
16 H 0.503 0.497 0.878
17 H 0.994 0.497 0.622
18 H 0.994 0.497 0.878

---

# 3
This entry pairs a crystal structure of LiBe2PH2 with its simulated powder diffractogram. Radiation: a wavelength of 1.5418 Å. Structure: a crystal structure in Alexandria, relaxed with PBE.

Largest 10 diffraction maxima, sorted by position, 2θ from 10° to 90°:
| d_spacing | 2theta | I (rel.) | index |
| --- | --- | --- | --- |
| 5.610 | 15.80 | 29 | 0 0 1 |
| 5.144 | 17.24 | 100 | 1 0 -1 |
| 3.391 | 26.28 | 42 | 0 1 1 |
| 3.303 | 26.99 | 59 | 1 1 0 |
| 2.805 | 31.90 | 17 | 0 0 2 |
| 2.517 | 35.67 | 23 | 1 1 -2 |
| 2.412 | 37.28 | 31 | 2 1 -1 |
| 2.080 | 43.51 | 16 | 1 0 -3 |
| 1.891 | 48.11 | 13 | 1 1 2 |
| 1.769 | 51.66 | 13 | 1 2 1 |

Atomic structure:
abc: 5.855 4.257 6.272
angles: 90.00 116.55 90.00
Atoms (fractional coordinates):
1 Li 0.008 0.250 0.317
2 Li 0.992 0.750 0.683
3 Be 0.364 0.000 0.098
4 Be 0.364 0.500 0.098
5 Be 0.636 0.000 0.902
6 Be 0.636 0.500 0.902
7 P 0.277 0.250 0.768
8 P 0.723 0.750 0.232
9 H 0.172 0.750 0.064
10 H 0.345 0.250 0.258
11 H 0.655 0.750 0.742
12 H 0.828 0.250 0.936

---

# 4
This entry pairs a crystal structure of LiPrBe2H8 with its simulated powder diffractogram. Radiation: a wavelength of 1.5418 Å. Structure: a crystal structure in Alexandria, relaxed with PBE.

Largest 10 diffraction maxima, sorted by position, 2θ from 10° to 90°:
| d_spacing | 2theta | I (rel.) | index |
| --- | --- | --- | --- |
| 6.616 | 13.38 | 76 | 0 0 1 |
| 3.837 | 23.18 | 67 | 1 0 0 |
| 3.318 | 26.87 | 100 | 1 0 1 |
| 2.505 | 35.84 | 51 | 1 0 2 |
| 2.215 | 40.73 | 20 | 1 1 0 |
| 2.101 | 43.06 | 26 | 1 1 1 |
| 1.912 | 47.56 | 19 | 0 1 3 |
| 1.842 | 49.49 | 34 | 0 2 1 |
| 1.660 | 55.36 | 15 | 0 2 2 |
| 1.328 | 70.96 | 14 | 2 1 2 |

Atomic structure:
abc: 4.431 4.431 6.616
angles: 90.00 90.00 120.00
Atoms (fractional coordinates):
1 Li 0.000 0.000 0.000
2 Pr 0.000 0.000 0.500
3 Be 0.333 0.667 0.252
4 Be 0.667 0.333 0.748
5 H 0.058 0.330 0.206
6 H 0.272 0.942 0.206
7 H 0.330 0.272 0.794
8 H 0.333 0.667 0.479
9 H 0.667 0.333 0.521
10 H 0.670 0.728 0.206
11 H 0.728 0.058 0.794
12 H 0.942 0.670 0.794